AlH3O3: simulated powder diffraction line list (λ = 1.5418 Å (Cu Kα)), based on a crystal structure in the Materials Project, relaxed with PBE.
Lines closer than 0.1° are merged.

Structure:
```
data_AlH3O3
_chemical_formula_sum 'Al8 H24 O24'
_cell_length_a 4.9656
_cell_length_b 9.0061
_cell_length_c 9.6745
_cell_angle_alpha 91.28
_cell_angle_beta 90.41
_cell_angle_gamma 91.73
_symmetry_space_group_name_H-M 'P 1'
_symmetry_Int_Tables_number 1
loop_
_symmetry_equiv_pos_as_xyz
'x,y,z'
loop_
_atom_site_label
_atom_site_type_symbol
_atom_site_fract_x
_atom_site_fract_y
_atom_site_fract_z
_atom_site_occupancy
Al1 Al 0.0000 0.0000 0.0000 1
Al2 Al 0.9999 0.0018 0.4985 1
Al3 Al 0.4902 0.8302 0.5013 1
Al4 Al 0.4911 0.8265 0.0004 1
Al5 Al 0.4917 0.5062 0.9982 1
Al6 Al 0.4981 0.4979 0.5015 1
Al7 Al 0.9873 0.3272 0.4985 1
Al8 Al 0.9884 0.3304 0.9983 1
H1 H 0.0398 0.7731 0.6187 1
H2 H 0.0426 0.5607 0.6132 1
H3 H 0.1217 0.1632 0.7943 1
H4 H 0.1668 0.6298 0.3811 1
H5 H 0.1778 0.4710 0.7925 1
H6 H 0.1945 0.8606 0.7951 1
H7 H 0.2906 0.3617 0.2949 1
H8 H 0.3071 0.9693 0.2940 1
H9 H 0.3388 0.1818 0.6005 1
H10 H 0.3862 0.6676 0.2041 1
H11 H 0.4315 0.2752 0.1190 1
H12 H 0.4627 0.0627 0.1153 1
H13 H 0.5197 0.2678 0.8879 1
H14 H 0.5574 0.0578 0.8816 1
H15 H 0.6212 0.6683 0.7058 1
H16 H 0.6456 0.1493 0.3979 1
H17 H 0.6803 0.3568 0.7059 1
H18 H 0.6998 0.9720 0.7046 1
H19 H 0.7999 0.4716 0.2924 1
H20 H 0.8083 0.8600 0.2048 1
H21 H 0.8339 0.6694 0.8917 1
H22 H 0.8667 0.1690 0.2050 1
H23 H 0.8754 0.7449 0.3825 1
H24 H 0.9348 0.5778 0.1067 1
O1 O 0.1413 0.1698 0.6049 1
O2 O 0.1443 0.1654 0.8970 1
O3 O 0.1704 0.4768 0.8953 1
O4 O 0.1724 0.4810 0.6130 1
O5 O 0.1744 0.8489 0.8959 1
O6 O 0.1764 0.8530 0.6113 1
O7 O 0.3050 0.3487 0.3959 1
O8 O 0.3115 0.3588 0.1119 1
O9 O 0.3142 0.9761 0.3966 1
O10 O 0.3211 0.9844 0.1119 1
O11 O 0.3550 0.6660 0.1034 1
O12 O 0.3575 0.6572 0.3938 1
O13 O 0.6357 0.6642 0.8895 1
O14 O 0.6496 0.6678 0.6035 1
O15 O 0.6618 0.3462 0.8916 1
O16 O 0.6698 0.3507 0.6036 1
O17 O 0.6794 0.9749 0.8865 1
O18 O 0.6846 0.9796 0.6029 1
O19 O 0.8012 0.8442 0.3868 1
O20 O 0.8129 0.8565 0.1025 1
O21 O 0.8176 0.4836 0.3943 1
O22 O 0.8185 0.4873 0.1053 1
O23 O 0.8435 0.1585 0.3921 1
O24 O 0.8444 0.1687 0.1023 1
```

Top 12 peaks for 2θ = 10–90°, in order of falling intensity:
2θ (°)  I_rel  hkl
18.35  100  0 0 2
19.73  20  0 2 0
20.17  18  1 -1 0
20.70  16  1 1 0
46.02  14  2 0 -3
27.50  11  1 1 -2
36.88  10  1 3 1
35.87  10  -1 3 1
27.35  9  1 -1 2
61.85  9  0 6 0
37.48  9  2 0 1
35.58  8  1 -3 1